Record 1
Simulated X-ray powder pattern
Compound: KMnPd
Radiation: Cu Ka
Structure: DFT lattice parameters and positions (PBE)
Intensities are scaled so that the largest is 100.

Crystal structure
Unit cell a=4.7182 b=5.1946 c=6.4799 alpha=78.45 beta=89.90 gamma=89.98
Fractional coordinates of all 6 atoms:
1 K 0.2501 0.2325 0.0732
2 K 0.7499 0.7675 0.9268
3 Mn 0.2499 0.6517 0.4898
4 Mn 0.7501 0.3483 0.5102
5 Pd 0.2500 0.1338 0.5681
6 Pd 0.7500 0.8662 0.4319

Peak list (8 most intense, 15 to 90 degrees two-theta, by intensity)
- 40.3 deg, intensity 100
- 28.1 deg, intensity 59
- 38.1 deg, intensity 46
- 40.8 deg, intensity 43
- 25.7 deg, intensity 36
- 34.0 deg, intensity 35
- 45.2 deg, intensity 34
- 54.1 deg, intensity 31

---

Record 2
Simulated X-ray powder pattern
Compound: Li7Ca2Ga
Radiation: Cu Ka
Structure: DFT lattice parameters and positions (PBE)
Intensities are scaled so that the largest is 100.

Crystal structure
Unit cell a=7.0738 b=7.0738 c=7.0738 alpha=60.00 beta=60.00 gamma=60.00
Fractional coordinates of all 10 atoms:
1 Li 0.0000 0.0000 0.0000
2 Li 0.2524 0.2524 0.7476
3 Li 0.2524 0.7476 0.2524
4 Li 0.2524 0.7476 0.7476
5 Li 0.7476 0.2524 0.2524
6 Li 0.7476 0.2524 0.7476
7 Li 0.7476 0.7476 0.2524
8 Ca 0.2500 0.2500 0.2500
9 Ca 0.7500 0.7500 0.7500
10 Ga 0.5000 0.5000 0.5000

Peak list (8 most intense, 15 to 90 degrees two-theta, by intensity)
- 25.2 deg, intensity 100
- 15.3 deg, intensity 42
- 44.4 deg, intensity 41
- 35.9 deg, intensity 31
- 29.6 deg, intensity 26
- 51.7 deg, intensity 21
- 70.4 deg, intensity 19
- 58.3 deg, intensity 17

---

Record 3
Simulated X-ray powder pattern
Compound: CaTb12Dy5
Radiation: Cu Ka
Structure: DFT lattice parameters and positions (PBE)
Intensities are scaled so that the largest is 100.

Crystal structure
Unit cell a=10.7034 b=5.0456 c=10.7195 alpha=90.00 beta=90.04 gamma=90.00
Fractional coordinates of all 18 atoms:
1 Ca 0.0000 0.0000 0.0000
2 Tb 0.9997 0.0000 0.3375
3 Tb 0.0003 0.0000 0.6625
4 Tb 0.1664 0.5000 0.5001
5 Tb 0.1722 0.5000 0.1723
6 Tb 0.3335 0.0000 0.3335
7 Tb 0.3376 0.0000 0.9997
8 Tb 0.5001 0.5000 0.1664
9 Tb 0.4999 0.5000 0.8336
10 Tb 0.6624 0.0000 0.0003
11 Tb 0.6665 0.0000 0.6665
12 Tb 0.8278 0.5000 0.8277
13 Tb 0.8336 0.5000 0.4999
14 Dy 0.1725 0.5000 0.8275
15 Dy 0.3335 0.0000 0.6665
16 Dy 0.5000 0.5000 0.5000
17 Dy 0.6665 0.0000 0.3335
18 Dy 0.8275 0.5000 0.1725

Peak list (8 most intense, 15 to 90 degrees two-theta, by intensity)
- 30.7 deg, intensity 100
- 35.6 deg, intensity 51
- 60.9 deg, intensity 42
- 51.2 deg, intensity 36
- 63.9 deg, intensity 12
- 86.2 deg, intensity 11
- 83.4 deg, intensity 9
- 83.5 deg, intensity 9

---

Record 4
Simulated X-ray powder pattern
Compound: Pu2SiOs
Radiation: Cu Ka
Structure: DFT lattice parameters and positions (PBE)
Intensities are scaled so that the largest is 100.

Crystal structure
Unit cell a=5.6426 b=5.6426 c=6.9576 alpha=91.07 beta=91.07 gamma=45.64
Fractional coordinates of all 8 atoms:
1 Pu 0.1472 0.1472 0.4418
2 Pu 0.3394 0.3394 0.8894
3 Pu 0.6606 0.6606 0.1106
4 Pu 0.8528 0.8528 0.5582
5 Si 0.0587 0.0587 0.8489
6 Si 0.9413 0.9413 0.1511
7 Os 0.4280 0.4280 0.3088
8 Os 0.5720 0.5720 0.6912

Peak list (8 most intense, 15 to 90 degrees two-theta, by intensity)
- 34.2 deg, intensity 100
- 35.3 deg, intensity 87
- 41.2 deg, intensity 41
- 42.4 deg, intensity 30
- 37.2 deg, intensity 23
- 60.6 deg, intensity 22
- 34.5 deg, intensity 21
- 41.9 deg, intensity 18

---

Record 5
Simulated X-ray powder pattern
Compound: Dy3ScAu4
Radiation: Cu Ka
Structure: DFT lattice parameters and positions (PBE)
Intensities are scaled so that the largest is 100.

Crystal structure
Unit cell a=3.5343 b=5.0404 c=10.0747 alpha=90.00 beta=90.00 gamma=90.00
Fractional coordinates of all 8 atoms:
1 Dy 0.0000 0.0000 0.0000
2 Dy 0.0000 0.5000 0.2537
3 Dy 0.0000 0.5000 0.7463
4 Sc 0.0000 0.0000 0.5000
5 Au 0.5000 0.0000 0.2651
6 Au 0.5000 0.0000 0.7349
7 Au 0.5000 0.5000 0.0000
8 Au 0.5000 0.5000 0.5000

Peak list (8 most intense, 15 to 90 degrees two-theta, by intensity)
- 35.8 deg, intensity 100
- 35.6 deg, intensity 50
- 64.1 deg, intensity 35
- 64.4 deg, intensity 18
- 51.3 deg, intensity 17
- 75.8 deg, intensity 11
- 51.7 deg, intensity 9
- 87.1 deg, intensity 8

---

Record 6
Simulated X-ray powder pattern
Compound: Sc2BiH
Radiation: Cu Ka
Structure: DFT lattice parameters and positions (PBE)
Intensities are scaled so that the largest is 100.

Crystal structure
Unit cell a=4.2893 b=4.2893 c=8.0466 alpha=90.00 beta=90.00 gamma=90.00
Fractional coordinates of all 8 atoms:
1 Sc 0.2500 0.2500 0.1607
2 Sc 0.2500 0.7500 0.5000
3 Sc 0.7500 0.2500 0.5000
4 Sc 0.7500 0.7500 0.8393
5 Bi 0.2500 0.2500 0.7891
6 Bi 0.7500 0.7500 0.2109
7 H 0.2500 0.2500 0.4214
8 H 0.7500 0.7500 0.5786

Peak list (8 most intense, 15 to 90 degrees two-theta, by intensity)
- 23.5 deg, intensity 100
- 37.1 deg, intensity 75
- 29.4 deg, intensity 49
- 42.1 deg, intensity 38
- 48.8 deg, intensity 31
- 22.1 deg, intensity 27
- 31.5 deg, intensity 27
- 39.6 deg, intensity 26

---

Record 7
Simulated X-ray powder pattern
Compound: Th4AgHg3
Radiation: Cu Ka
Structure: DFT lattice parameters and positions (PBE)
Intensities are scaled so that the largest is 100.

Crystal structure
Unit cell a=11.0505 b=6.8452 c=5.7330 alpha=90.00 beta=90.00 gamma=90.00
Fractional coordinates of all 16 atoms:
1 Th 0.0000 0.2478 0.0000
2 Th 0.0000 0.7522 0.0000
3 Th 0.2500 0.2487 0.3877
4 Th 0.2500 0.7513 0.3877
5 Th 0.5000 0.2478 0.0000
6 Th 0.5000 0.7522 0.0000
7 Th 0.7500 0.2487 0.6123
8 Th 0.7500 0.7513 0.6123
9 Ag 0.0000 0.0000 0.5000
10 Ag 0.5000 0.0000 0.5000
11 Hg 0.0000 0.5000 0.5000
12 Hg 0.2500 0.0000 0.8741
13 Hg 0.2500 0.5000 0.8793
14 Hg 0.5000 0.5000 0.5000
15 Hg 0.7500 0.0000 0.1259
16 Hg 0.7500 0.5000 0.1207

Peak list (8 most intense, 15 to 90 degrees two-theta, by intensity)
- 34.6 deg, intensity 100
- 32.4 deg, intensity 40
- 32.3 deg, intensity 22
- 59.2 deg, intensity 22
- 31.5 deg, intensity 22
- 64.0 deg, intensity 18
- 65.3 deg, intensity 14
- 39.8 deg, intensity 13

---

Record 8
Simulated X-ray powder pattern
Compound: PmNd5Er5
Radiation: Cu Ka
Structure: DFT lattice parameters and positions (PBE)
Intensities are scaled so that the largest is 100.

Crystal structure
Unit cell a=9.9489 b=9.9489 c=7.0484 alpha=110.54 beta=110.54 gamma=35.02
Fractional coordinates of all 11 atoms:
1 Pm 0.0000 0.0000 0.0000
2 Nd 0.1766 0.1766 0.4213
3 Nd 0.1766 0.1766 0.9331
4 Nd 0.5000 0.5000 0.0000
5 Nd 0.8234 0.8234 0.0669
6 Nd 0.8234 0.8234 0.5787
7 Er 0.0000 0.0000 0.5000
8 Er 0.3306 0.3306 0.8293
9 Er 0.3775 0.3775 0.3760
10 Er 0.6225 0.6225 0.6240
11 Er 0.6694 0.6694 0.1707

Peak list (8 most intense, 15 to 90 degrees two-theta, by intensity)
- 33.2 deg, intensity 100
- 29.8 deg, intensity 76
- 30.4 deg, intensity 32
- 43.1 deg, intensity 25
- 55.1 deg, intensity 24
- 27.2 deg, intensity 21
- 29.4 deg, intensity 18
- 28.3 deg, intensity 16

---

Record 9
Simulated X-ray powder pattern
Compound: Al5Ga2
Radiation: Cu Ka
Structure: DFT lattice parameters and positions (PBE)
Intensities are scaled so that the largest is 100.

Crystal structure
Unit cell a=7.4401 b=7.4401 c=6.9596 alpha=93.08 beta=93.08 gamma=38.75
Fractional coordinates of all 14 atoms:
1 Al 0.0017 0.7054 0.0371
2 Al 0.1336 0.4394 0.6785
3 Al 0.1461 0.8539 0.7500
4 Al 0.2946 0.9983 0.4629
5 Al 0.4394 0.1336 0.1785
6 Al 0.5606 0.8664 0.8215
7 Al 0.7054 0.0017 0.5371
8 Al 0.8539 0.1461 0.2500
9 Al 0.8664 0.5606 0.3215
10 Al 0.9983 0.2946 0.9629
11 Ga 0.2783 0.5748 0.3926
12 Ga 0.4252 0.7217 0.1074
13 Ga 0.5748 0.2783 0.8926
14 Ga 0.7217 0.4252 0.6074

Peak list (8 most intense, 15 to 90 degrees two-theta, by intensity)
- 41.1 deg, intensity 100
- 38.5 deg, intensity 91
- 37.5 deg, intensity 71
- 43.3 deg, intensity 61
- 36.2 deg, intensity 55
- 23.2 deg, intensity 28
- 65.4 deg, intensity 24
- 19.1 deg, intensity 23

---

Record 10
Simulated X-ray powder pattern
Compound: PmTh2Hg3
Radiation: Cu Ka
Structure: DFT lattice parameters and positions (PBE)
Intensities are scaled so that the largest is 100.

Crystal structure
Unit cell a=3.8132 b=3.8132 c=11.5000 alpha=90.00 beta=90.00 gamma=90.00
Fractional coordinates of all 6 atoms:
1 Pm 0.0000 0.0000 0.0000
2 Th 0.0000 0.0000 0.3330
3 Th 0.0000 0.0000 0.6670
4 Hg 0.5000 0.5000 0.1615
5 Hg 0.5000 0.5000 0.5000
6 Hg 0.5000 0.5000 0.8385

Peak list (8 most intense, 15 to 90 degrees two-theta, by intensity)
- 33.2 deg, intensity 100
- 59.3 deg, intensity 26
- 59.1 deg, intensity 13
- 47.7 deg, intensity 12
- 79.5 deg, intensity 11
- 69.5 deg, intensity 8
- 47.4 deg, intensity 6
- 79.0 deg, intensity 6

---

Record 11
Simulated X-ray powder pattern
Compound: La2AlAg2
Radiation: Cu Ka
Structure: DFT lattice parameters and positions (PBE)
Intensities are scaled so that the largest is 100.

Crystal structure
Unit cell a=6.0762 b=6.0762 c=11.3627 alpha=115.02 beta=115.02 gamma=44.88
Fractional coordinates of all 10 atoms:
1 La 0.0147 0.0147 0.3404
2 La 0.1973 0.1973 0.1118
3 La 0.8027 0.8027 0.8882
4 La 0.9853 0.9853 0.6596
5 Al 0.2739 0.2739 0.6491
6 Al 0.7261 0.7261 0.3509
7 Ag 0.3521 0.3521 0.4378
8 Ag 0.4912 0.4912 0.1209
9 Ag 0.5088 0.5088 0.8791
10 Ag 0.6479 0.6479 0.5622

Peak list (8 most intense, 15 to 90 degrees two-theta, by intensity)
- 30.6 deg, intensity 100
- 30.9 deg, intensity 60
- 37.5 deg, intensity 51
- 38.8 deg, intensity 45
- 31.9 deg, intensity 33
- 24.4 deg, intensity 31
- 35.5 deg, intensity 26
- 33.9 deg, intensity 25

---

Record 12
Simulated X-ray powder pattern
Compound: Al4Au5
Radiation: Cu Ka
Structure: DFT lattice parameters and positions (PBE)
Intensities are scaled so that the largest is 100.

Crystal structure
Unit cell a=7.0778 b=7.0778 c=3.3629 alpha=103.37 beta=103.37 gamma=71.99
Fractional coordinates of all 9 atoms:
1 Al 0.0271 0.6650 0.8473
2 Al 0.3350 0.9729 0.1527
3 Al 0.6650 0.0271 0.8473
4 Al 0.9729 0.3350 0.1527
5 Au 0.0000 0.0000 0.5000
6 Au 0.2939 0.2939 0.7953
7 Au 0.3359 0.6641 0.5000
8 Au 0.6641 0.3359 0.5000
9 Au 0.7061 0.7061 0.2047

Peak list (8 most intense, 15 to 90 degrees two-theta, by intensity)
- 42.2 deg, intensity 100
- 40.8 deg, intensity 89
- 36.1 deg, intensity 63
- 36.4 deg, intensity 61
- 54.6 deg, intensity 44
- 32.6 deg, intensity 40
- 33.3 deg, intensity 29
- 28.6 deg, intensity 28

---

Record 13
Simulated X-ray powder pattern
Compound: Tb3FeC3
Radiation: Cu Ka
Structure: DFT lattice parameters and positions (PBE)
Intensities are scaled so that the largest is 100.

Crystal structure
Unit cell a=6.6764 b=6.6764 c=5.1101 alpha=90.00 beta=90.00 gamma=101.17
Fractional coordinates of all 14 atoms:
1 Tb 0.1079 0.8921 0.7500
2 Tb 0.1665 0.4095 0.7500
3 Tb 0.4095 0.1665 0.2500
4 Tb 0.5905 0.8335 0.7500
5 Tb 0.8335 0.5905 0.2500
6 Tb 0.8921 0.1079 0.2500
7 Fe 0.3009 0.6991 0.2500
8 Fe 0.6991 0.3009 0.7500
9 C 0.1238 0.8762 0.2500
10 C 0.1731 0.4345 0.2500
11 C 0.4345 0.1731 0.7500
12 C 0.5655 0.8269 0.2500
13 C 0.8269 0.5655 0.7500
14 C 0.8762 0.1238 0.7500

Peak list (8 most intense, 15 to 90 degrees two-theta, by intensity)
- 32.5 deg, intensity 100
- 35.1 deg, intensity 33
- 34.8 deg, intensity 24
- 33.1 deg, intensity 23
- 32.9 deg, intensity 19
- 61.3 deg, intensity 17
- 50.3 deg, intensity 17
- 67.0 deg, intensity 13